The following is a calculated powder X-ray diffraction pattern of Li2VSi4O11. It was derived from a structure optimized by DFT (GGA+U), using Cu Kα.
Intensities are scaled so that the largest is 1000.

Largest 10 diffraction maxima, low angle first, 5 to 70 degrees two-theta:
two_theta  I/Imax  h k l
16.63  932  2 0 0
21.84  267  2 1 1
22.77  1000  0 0 2
23.61  302  2 2 0
26.44  842  1 3 0
27.58  299  3 0 1
35.17  328  1 3 2
35.73  343  3 3 0
39.43  150  2 1 3
46.49  225  0 0 4

Crystal structure
Cell lengths 10.661, 10.661, 7.811 Å; angles 90.00, 90.00, 90.00 degrees
Space group I4/m (No. 87)
Symmetry-distinct sites (fractional):
Li1 0.120 0.852 0.000 x8
V1 0.000 0.000 0.260 x4
Si1 0.022 0.305 0.305 x16
O1 0.000 0.000 0.000 x2
O2 0.000 0.000 0.500 x2
O3 0.031 0.709 0.500 x8
O4 0.065 0.173 0.223 x16
O5 0.095 0.639 0.190 x16